No. 1
Structure and simulated PXRD pattern of LiAg4P4O12 (the PBE geometry in Alexandria; Cu Ka).
Lines closer than 0.1° are merged.

Structure:
```
21
Lattice="4.2729 0.0000 0.0000 0.0490 5.8008 0.0000 0.7722 2.2646 13.6084" Properties=species:S:1:pos:R:3 pbc="T T T"
Li 0.0000 0.0000 0.0000
Ag 1.3225 7.0354 10.6598
Ag 1.2402 5.2388 4.2441
Ag 3.3979 3.0843 10.9167
Ag 4.1937 1.9277 5.3283
P 1.3322 4.2483 8.6928
P 1.7604 1.9830 2.5063
P 3.5125 5.1038 6.8751
P 3.8495 2.6384 0.5720
O 0.1516 3.9475 0.1577
O 0.6576 2.9165 8.8345
O 0.6880 1.6824 1.3163
O 1.1338 2.8080 3.5998
O 1.9712 4.9016 9.9018
O 2.4165 4.1063 7.4940
O 2.3933 0.6517 2.8232
O 2.9001 6.4376 6.5353
O 2.8133 2.9610 1.7768
O 4.0370 3.9205 13.2006
O 4.1583 4.3065 5.7559
O 4.5631 5.3437 8.0813
```

Main lines, by intensity (2θ = 10–90°):
two_theta	I/Imax
13.01	1000
30.89	661
27.91	510
18.55	443
24.00	435
39.15	397
28.56	342
21.87	328
31.88	312
19.57	291

No. 2
Structure and simulated PXRD pattern of Li3PaAg2O6 (the PBE geometry in Alexandria; Cu Ka).
Lines closer than 0.1° are merged.

Structure:
```
12
Lattice="3.6244 0.0000 0.0000 0.0000 3.6244 0.0000 0.0000 0.0000 11.8931" Properties=species:S:1:pos:R:3 pbc="T T T"
Li 0.0000 0.0000 0.0000
Li 0.0000 0.0000 3.7529
Li 0.0000 0.0000 8.1401
Pa 1.8122 1.8122 5.9465
Ag 1.8122 1.8122 1.9557
Ag 1.8122 1.8122 9.9374
O 0.0000 0.0000 1.8141
O 0.0000 0.0000 10.0790
O 0.0000 1.8122 4.6206
O 0.0000 1.8122 7.2725
O 1.8122 0.0000 4.6206
O 1.8122 0.0000 7.2725
```

Main lines, by intensity (2θ = 10–90°):
two_theta	I/Imax
33.50	1000
24.56	937
41.98	709
22.43	689
35.01	444
61.84	347
58.90	273
50.35	257
52.63	249
55.78	232

No. 3
Structure and simulated PXRD pattern of LiPaAgO5 (the PBE geometry in Alexandria; Cu Ka).
Lines closer than 0.1° are merged.

Structure:
```
16
Lattice="2.8769 -5.0980 0.0000 2.8769 5.0980 0.0000 -2.7643 0.0000 7.5611" Properties=species:S:1:pos:R:3 pbc="T T T"
Li 0.8037 4.6995 5.6708
Li 2.1858 -4.6995 1.8903
Pa 1.4384 2.5490 0.0000
Pa 0.0563 -2.5490 3.7805
Ag 0.8037 0.8513 5.6708
Ag 2.1858 -0.8513 1.8903
O 0.5096 2.6127 4.3247
O 2.1858 3.4284 1.8903
O 1.2128 0.7208 0.8016
O -0.1694 -0.7208 4.5822
O 1.0978 2.6127 7.0169
O 1.8917 -2.6127 0.5442
O 3.1589 0.7208 2.9789
O 1.7768 -0.7208 6.7595
O 0.8037 -3.4284 5.6708
O 2.4799 -2.6127 3.2364
```

Main lines, by intensity (2θ = 10–90°):
two_theta	I/Imax
24.89	1000
29.41	816
18.73	703
31.18	638
17.40	563
33.50	545
34.85	340
37.68	339
42.79	322
52.46	256

No. 4
Structure and simulated PXRD pattern of LiAgPdO2 (the PBE geometry in Alexandria; Cu Ka).
Lines closer than 0.1° are merged.

Structure:
```
5
Lattice="3.2966 0.0000 0.0000 0.0000 3.6005 0.0000 -0.1269 0.0000 5.7257" Properties=species:S:1:pos:R:3 pbc="T T T"
Li 0.0000 0.0000 0.0000
Ag -0.0634 0.0000 2.8629
Pd 1.6483 1.8003 0.0000
O -0.0011 1.8003 1.2749
O 3.1709 1.8003 4.4508
```

Main lines, by intensity (2θ = 10–90°):
two_theta	I/Imax
29.30	1000
36.98	403
31.01	380
31.62	372
31.24	322
48.74	309
49.59	295
54.41	139
50.71	139
64.62	135

No. 5
Structure and simulated PXRD pattern of LiPr2AgO5 (the PBE geometry in Alexandria; Cu Ka).
Lines closer than 0.1° are merged.

Structure:
```
18
Lattice="6.8454 0.0000 0.0000 0.0000 6.8454 0.0000 0.0000 0.0000 5.9337" Properties=species:S:1:pos:R:3 pbc="T T T"
Li 0.0000 0.0000 0.0000
Li 3.4227 3.4227 0.0000
Pr 1.2097 2.2130 2.9669
Pr 2.2130 5.6357 2.9669
Pr 4.6324 1.2097 2.9669
Pr 5.6357 4.6324 2.9669
Ag 0.0000 3.4227 0.0000
Ag 3.4227 0.0000 0.0000
O 0.0000 0.0000 2.9669
O 0.9366 4.3593 1.4931
O 0.9366 4.3593 4.4407
O 2.4861 0.9366 1.4931
O 2.4861 0.9366 4.4407
O 3.4227 3.4227 2.9669
O 4.3593 5.9088 1.4931
O 4.3593 5.9088 4.4407
O 5.9088 2.4861 1.4931
O 5.9088 2.4861 4.4407
```

Main lines, by intensity (2θ = 10–90°):
two_theta	I/Imax
30.14	1000
32.92	614
18.33	503
42.43	466
14.93	436
44.55	393
55.31	235
29.17	233
57.65	182
37.15	156

No. 6
Structure and simulated PXRD pattern of Li2AgPtO4 (the PBE geometry in Alexandria; Cu Ka).
Lines closer than 0.1° are merged.

Structure:
```
8
Lattice="-2.7319 2.7319 3.2757 2.7319 -2.7319 3.2757 2.7319 2.7319 -3.2757" Properties=species:S:1:pos:R:3 pbc="T T T"
Li 2.7319 0.0000 1.6378
Li 0.0000 2.7319 1.6378
Ag 0.0000 0.0000 0.0000
Pt 0.0000 0.0000 3.2757
O 1.3018 -1.3018 2.6491
O 1.4301 1.4301 0.6266
O -1.3018 1.3018 2.6491
O 1.3018 1.3018 3.9022
```

Main lines, by intensity (2θ = 10–90°):
two_theta	I/Imax
23.02	1000
35.94	761
27.22	391
43.12	328
60.59	324
32.78	289
47.04	240
55.20	210
53.00	207
21.17	186

No. 7
Structure and simulated PXRD pattern of LiPuAg2O6 (the PBE geometry in Alexandria; Cu Ka).
Lines closer than 0.1° are merged.

Structure:
```
20
Lattice="5.4739 -4.7738 0.0000 5.4739 4.7738 0.0000 -2.0886 0.0000 4.9214" Properties=species:S:1:pos:R:3 pbc="T T T"
Li 3.9075 4.0198 3.6910
Li 4.9518 -4.0198 1.2303
Pu 4.9518 2.4124 1.2303
Pu 3.9075 -2.4124 3.6910
Ag 1.8539 0.9077 2.6704
Ag 2.8982 -0.9077 0.2097
Ag 5.9610 0.9077 4.7116
Ag 7.0053 -0.9077 2.2510
O -0.1997 0.8477 3.3650
O 2.5378 2.5042 4.2384
O 0.8446 -0.8477 0.9043
O 3.6014 0.9385 1.4953
O 5.2771 2.5042 3.1436
O 2.5570 -0.9385 3.9560
O 6.3022 0.9385 0.9654
O 3.5822 -2.5042 1.7777
O 5.2579 -0.9385 3.4261
O 8.0147 0.8477 4.0170
O 6.3214 -2.5042 0.6830
O 9.0590 -0.8477 1.5563
```

Main lines, by intensity (2θ = 10–90°):
two_theta	I/Imax
24.84	1000
27.29	826
25.71	747
32.80	712
41.88	317
50.61	294
33.72	285
47.77	237
59.73	195
19.11	193

No. 8
Structure and simulated PXRD pattern of LiAg2SO4 (the PBE geometry in Alexandria; Cu Ka).
Lines closer than 0.1° are merged.

Structure:
```
8
Lattice="-2.6600 2.6600 3.9389 2.6600 -2.6600 3.9389 2.6600 2.6600 -3.9389" Properties=species:S:1:pos:R:3 pbc="T T T"
Li 0.0000 0.0000 0.0000
Ag 2.6600 0.0000 1.9694
Ag 0.0000 0.0000 3.9389
S 0.0000 2.6600 1.9694
O -0.5284 1.5580 1.1037
O 1.1020 2.1316 2.8352
O 0.5284 3.7620 1.1037
O -1.1020 3.1885 2.8352
```

Main lines, by intensity (2θ = 10–90°):
two_theta	I/Imax
32.92	1000
20.14	526
39.57	416
33.69	390
59.77	310
38.22	224
58.29	190
48.39	136
69.05	111
51.86	101